The following is a calculated powder X-ray diffraction pattern of Ce3Sn13Ir4. It was derived from the GGA-PBE geometry in Alexandria, using Cu Kα, 1.54184 Å.

```
Ce3Sn13Ir4
1.0
9.8034 0.0000 0.0000
0.0000 9.8034 0.0000
0.0000 0.0000 9.8034
Ce Sn Ir
6 26 8
Cartesian
0.0000 2.4508 4.9017
0.0000 7.3525 4.9017
2.4508 4.9017 0.0000
4.9017 0.0000 2.4508
4.9017 0.0000 7.3525
7.3525 4.9017 0.0000
0.0000 0.0000 0.0000
0.0000 3.0220 1.4863
0.0000 3.0220 8.3171
0.0000 6.7814 1.4863
0.0000 6.7814 8.3171
1.4863 0.0000 3.0220
1.4863 0.0000 6.7814
1.8797 4.9017 3.4154
1.8797 4.9017 6.3880
3.0220 1.4863 0.0000
3.0220 8.3171 0.0000
3.4154 1.8797 4.9017
3.4154 7.9237 4.9017
4.9017 3.4154 1.8797
4.9017 3.4154 7.9237
4.9017 4.9017 4.9017
4.9017 6.3880 1.8797
4.9017 6.3880 7.9237
6.3880 1.8797 4.9017
6.3880 7.9237 4.9017
6.7814 1.4863 0.0000
6.7814 8.3171 0.0000
7.9237 4.9017 3.4154
7.9237 4.9017 6.3880
8.3171 0.0000 3.0220
8.3171 0.0000 6.7814
2.4508 2.4508 2.4508
2.4508 2.4508 7.3525
2.4508 7.3525 2.4508
2.4508 7.3525 7.3525
7.3525 2.4508 2.4508
7.3525 2.4508 7.3525
7.3525 7.3525 2.4508
7.3525 7.3525 7.3525
```

Principal peaks in the range 10 to 90 degrees two-theta, sorted by position:
| (hkl) | d_spacing | I_rel |
| --- | --- | --- |
| 2 0 0 | 4.902 | 26 |
| 2 2 2 | 2.830 | 16 |
| 3 2 0 | 2.719 | 100 |
| 3 2 1 | 2.620 | 39 |
| 4 0 0 | 2.451 | 34 |
| 4 2 0 | 2.192 | 29 |
| 4 2 2 | 2.001 | 46 |
| 5 3 2 | 1.590 | 16 |
| 6 2 2 | 1.478 | 24 |
| 6 6 0 | 1.155 | 15 |